Starting from the PBE+U geometry in Alexandria, the powder XRD pattern of CaFe2Si4O12 was calculated for λ = 1.5418 Å (Cu Kα).
Intensities are scaled so that the largest is 100.

Cell and atoms:
```
data_CaFe2Si4O12
_chemical_formula_sum 'Ca2 Fe4 Si8 O24'
_cell_length_a 9.7779
_cell_length_b 8.9256
_cell_length_c 5.3426
_cell_angle_alpha 90.00
_cell_angle_beta 107.25
_cell_angle_gamma 90.00
_space_group_name_H-M_alt 'C 1 2 1'
_space_group_IT_number 5
loop_
_space_group_symop_operation_xyz
'x,y,z'
'-x,y,-z'
'x+1/2,y+1/2,z'
'-x+1/2,y+1/2,-z'
loop_
_atom_site_label
_atom_site_type_symbol
_atom_site_fract_x
_atom_site_fract_y
_atom_site_fract_z
Ca1 Ca 0.0000 0.0000 0.0000
Fe1 Fe 0.0000 0.5851 0.0000
Fe2 Fe 0.0000 0.7884 0.5000
Si1 Si 0.2087 0.2874 0.0137
Si2 Si 0.2096 0.1088 0.5218
O1 O 0.1142 0.7809 0.8906
O2 O 0.1157 0.6258 0.3816
O3 O 0.1346 0.9459 0.4395
O4 O 0.1460 0.1803 0.7507
O5 O 0.1480 0.4546 0.9609
O6 O 0.1502 0.2011 0.2376
```

Main lines, in order of rising 2θ (10 to 90 degrees two-theta):
2θ/deg, d (Å), I_rel, index
13.72, 6.452, 55, 1 1 0
19.87, 4.468, 50, 0 2 0
29.57, 3.021, 100, 2 2 -1
30.41, 2.939, 49, 3 1 0
34.79, 2.579, 24, 1 3 -1
35.18, 2.551, 36, 0 0 2
35.85, 2.505, 40, 2 2 1
40.60, 2.222, 18, 1 1 2